For LiCd4Ni, the GGA-PBE geometry in Alexandria gives the simulated powder XRD pattern in this record (Cu Kα).
Lines closer than 0.1° are merged.

a = 13.7155 Å, b = 7.0664 Å, c = 5.2735 Å
α = 90.00°, β = 111.79°, γ = 90.00°
Space group C2/m (No. 12)
Unique sites:
1 Li 0.2010 0.0000 0.2001 x4
2 Cd 0.0000 0.1938 0.0000 x4
3 Cd 0.1265 0.2314 0.6234 x8
4 Cd 0.1805 0.5000 0.1793 x4
5 Ni 0.9996 0.5000 0.2754 x4

Principal peaks in the range 2θ from 15° to 90°, in order of rising 2θ:
25.2 deg, rel. 42, (0 2 0)
34.0 deg, rel. 71, (2 0 -2)
37.1 deg, rel. 100, (2 2 1)
37.4 deg, rel. 97, (4 2 -1)
38.9 deg, rel. 43, (1 3 0)
39.1 deg, rel. 39, (4 0 1)



For Li3Cd4Ni, the GGA-PBE geometry in Alexandria gives the simulated powder XRD pattern in this record (Cu Kα).
Lines closer than 0.1° are merged.

a = 6.3866 Å, b = 6.4026 Å, c = 13.4071 Å
α = 90.00°, β = 90.00°, γ = 90.00°
Space group Fmmm (No. 69)
Unique sites:
1 Li 0.0000 0.0000 0.0000 x4
2 Li 0.0000 0.0000 0.2557 x8
3 Cd 0.2500 0.2500 0.1194 x16
4 Ni 0.0000 0.0000 0.5000 x4

Principal peaks in the range 2θ from 15° to 90°, in order of rising 2θ:
26.6 deg, rel. 34, (0 0 4)
27.9 deg, rel. 61, (2 0 0)
38.9 deg, rel. 100, (2 0 4)
39.9 deg, rel. 47, (2 2 0)
48.6 deg, rel. 25, (2 2 4)
69.9 deg, rel. 16, (2 2 8)



For Li2PuCdO6, the GGA-PBE geometry in Alexandria gives the simulated powder XRD pattern in this record (Cu Kα).
Lines closer than 0.1° are merged.

a = 5.5530 Å, b = 5.5215 Å, c = 9.6230 Å
α = 90.00°, β = 124.57°, γ = 90.00°
Space group P2_1/c (No. 14)
Unique sites:
1 Li 0.2001 0.0246 0.2328 x4
2 Pu 0.5000 0.0000 0.0000 x2
3 Cd 0.0000 0.0000 0.5000 x2
4 O 0.1455 0.0991 0.7676 x4
5 O 0.2392 0.6451 0.5551 x4
6 O 0.4583 0.1958 0.5833 x4

Principal peaks in the range 2θ from 15° to 90°, in order of rising 2θ:
19.6 deg, rel. 31, (0 1 1)
22.4 deg, rel. 54, (0 0 2)
22.7 deg, rel. 100, (1 1 -1)
32.0 deg, rel. 39, (1 1 1)
32.3 deg, rel. 58, (2 0 -2)
39.8 deg, rel. 30, (2 0 -4)



For Li2CdRuO4, the GGA-PBE geometry in Alexandria gives the simulated powder XRD pattern in this record (Cu Kα).
Lines closer than 0.1° are merged.

a = 5.9266 Å, b = 6.0500 Å, c = 9.9061 Å
α = 90.00°, β = 90.00°, γ = 90.00°
Space group Imm2 (No. 44)
Unique sites:
1 Li 0.0000 0.2478 0.0000 x4
2 Li 0.2472 0.0000 0.2599 x4
3 Cd 0.0000 0.2488 0.5131 x4
4 Ru 0.2377 0.5000 0.2584 x4
5 O 0.0000 0.2345 0.7572 x4
6 O 0.0000 0.2476 0.2615 x4
7 O 0.2249 0.5000 0.0550 x4
8 O 0.2338 0.0000 0.9603 x4

Principal peaks in the range 2θ from 15° to 90°, in order of rising 2θ:
17.2 deg, rel. 100, (0 1 1)
17.4 deg, rel. 86, (1 0 1)
34.7 deg, rel. 39, (0 2 2)
36.3 deg, rel. 46, (0 0 4)
42.7 deg, rel. 65, (2 2 0)
57.3 deg, rel. 44, (2 2 4)



For Li2Cd2RuO6, the GGA-PBE geometry in Alexandria gives the simulated powder XRD pattern in this record (Cu Kα).
Lines closer than 0.1° are merged.

a = 5.7417 Å, b = 9.7862 Å, c = 5.2134 Å
α = 90.00°, β = 104.81°, γ = 90.00°
Space group C2/m (No. 12)
Unique sites:
1 Li 0.0000 0.1316 0.0000 x4
2 Cd 0.0000 0.3403 0.5000 x4
3 Ru 0.0000 0.0000 0.5000 x2
4 O 0.1892 0.1441 0.7161 x8
5 O 0.2185 0.0000 0.2656 x4

Principal peaks in the range 2θ from 15° to 90°, in order of rising 2θ:
17.6 deg, rel. 100, (0 0 1)
31.8 deg, rel. 37, (1 3 0)
32.6 deg, rel. 22, (2 0 -1)
34.4 deg, rel. 20, (1 3 -1)
38.6 deg, rel. 41, (1 3 1)
41.8 deg, rel. 17, (2 0 -2)



For LiCd4Tc4O12, the GGA-PBE geometry in Alexandria gives the simulated powder XRD pattern in this record (Cu Kα).
Lines closer than 0.1° are merged.

a = 5.4405 Å, b = 5.7460 Å, c = 7.9039 Å
α = 92.08°, β = 90.33°, γ = 90.02°
Space group P1 (No. 1)
Unique sites:
1 Li 0.0000 0.0000 0.0000 x1
2 Cd 0.1184 0.1662 0.4035 x1
3 Cd 0.1700 0.3239 0.8687 x1
4 Cd 0.5975 0.7675 0.9085 x1
5 Cd 0.6560 0.6642 0.4082 x1
6 Tc 0.1353 0.7309 0.6515 x1
7 Tc 0.1368 0.6959 0.1677 x1
8 Tc 0.6255 0.2128 0.1571 x1
9 Tc 0.6419 0.2210 0.6527 x1
10 O 0.0156 0.6963 0.9072 x1
11 O 0.2503 0.7553 0.4082 x1
12 O 0.3320 0.9963 0.0958 x1
13 O 0.3374 0.0245 0.7130 x1
14 O 0.4226 0.4923 0.0912 x1
15 O 0.4460 0.5295 0.7031 x1
16 O 0.5234 0.2571 0.4055 x1
17 O 0.7568 0.1828 0.9051 x1
18 O 0.8393 0.9204 0.2124 x1
19 O 0.8391 0.9285 0.5918 x1
20 O 0.9237 0.4202 0.2231 x1
21 O 0.9438 0.4231 0.6005 x1

Principal peaks in the range 2θ from 15° to 90°, in order of rising 2θ:
31.6 deg, rel. 67, (1 1 -2)
31.7 deg, rel. 73, (1 -1 2)
32.4 deg, rel. 78, (-1 1 2)
32.5 deg, rel. 79, (1 1 2)
32.9 deg, rel. 66, (2 0 0)
46.0 deg, rel. 100, (0 0 4)



For LiCd2TeO4, the GGA-PBE geometry in Alexandria gives the simulated powder XRD pattern in this record (Cu Kα).
Lines closer than 0.1° are merged.

a = 8.6234 Å, b = 9.3373 Å, c = 6.6837 Å
α = 90.00°, β = 122.64°, γ = 90.00°
Space group C2/c (No. 15)
Unique sites:
1 Li 0.2500 0.2500 0.0000 x4
2 Cd 0.0000 0.0000 0.0000 x4
3 Cd 0.2500 0.2500 0.5000 x4
4 Te 0.0000 0.5000 0.0000 x4
5 O 0.0329 0.2704 0.0376 x8
6 O 0.2147 0.0072 0.3882 x8

Principal peaks in the range 2θ from 15° to 90°, in order of rising 2θ:
16.7 deg, rel. 65, (1 1 -1)
31.2 deg, rel. 100, (2 2 0)
31.8 deg, rel. 84, (0 0 2)
33.8 deg, rel. 86, (2 2 -2)
38.6 deg, rel. 55, (0 4 0)
50.8 deg, rel. 45, (0 4 2)



For LiUCdO4, the GGA-PBE geometry in Alexandria gives the simulated powder XRD pattern in this record (Cu Kα).
Lines closer than 0.1° are merged.

a = 7.0608 Å, b = 7.1317 Å, c = 7.5191 Å
α = 90.00°, β = 90.00°, γ = 90.00°
Space group Imma (No. 74)
Unique sites:
1 Li 0.2500 0.2500 0.2500 x4
2 U 0.0000 0.0000 0.0000 x4
3 Cd 0.0000 0.2500 0.5784 x4
4 O 0.0000 0.0324 0.2698 x8
5 O 0.1926 0.2500 0.9924 x8

Principal peaks in the range 2θ from 15° to 90°, in order of rising 2θ:
17.2 deg, rel. 38, (1 0 1)
23.7 deg, rel. 39, (0 0 2)
25.2 deg, rel. 49, (2 0 0)
30.5 deg, rel. 100, (1 2 1)
38.1 deg, rel. 21, (1 0 3)
47.9 deg, rel. 37, (3 2 1)